Record 1
Computed PXRD pattern of LiCu2O2 for Cu Ka, from a GGA-PBE-relaxed structure.
Peak positions follow from Bragg's law for the DFT cell and can differ from measured ones.

Peak list (10 most intense, 10 to 90 degrees two-theta, sorted by position)
6.294 Å, I 33, (0 0 2)
5.216 Å, I 47, (1 0 1)
4.237 Å, I 57, (1 0 2)
2.811 Å, I 19, (0 1 1)
2.384 Å, I 24, (1 1 2)
2.377 Å, I 63, (0 1 3)
2.366 Å, I 63, (2 0 3)
2.098 Å, I 41, (0 0 6)
2.033 Å, I 100, (2 1 0)
1.460 Å, I 45, (2 1 6)

Cell and atoms:
abc: 5.731 2.884 12.587
angles: 90.00 90.00 90.00
Space group Pnma (No. 62)
Symmetry-distinct sites (fractional):
Li 0.133 0.250 0.072 x4
Cu 0.120 0.250 0.758 x4
Cu 0.124 0.250 0.400 x4
O 0.115 0.250 0.610 x4
O 0.134 0.250 0.907 x4

---

Record 2
Computed PXRD pattern of Ho3SbO7 for Cu Ka, from a GGA-PBE-relaxed structure.
Peak positions follow from Bragg's law for the DFT cell and can differ from measured ones.

Peak list (10 most intense, 10 to 90 degrees two-theta, sorted by position)
3.054 Å, I 100, (2 2 0)
2.650 Å, I 24, (2 0 2)
2.636 Å, I 11, (0 4 0)
1.876 Å, I 8, (0 0 4)
1.869 Å, I 36, (2 4 2)
1.597 Å, I 28, (2 2 4)
1.591 Å, I 12, (0 6 2)
1.529 Å, I 5, (0 4 4)
1.213 Å, I 7, (2 6 4)
1.184 Å, I 6, (4 4 4)

Cell and atoms:
abc: 7.484 10.545 7.504
angles: 90.00 90.00 90.00
Space group C222_1 (No. 20)
Symmetry-distinct sites (fractional):
Ho 0.014 0.000 0.000 x4
Ho 0.234 0.266 0.753 x8
Sb 0.000 0.500 0.000 x4
O 0.000 0.130 0.250 x4
O 0.000 0.138 0.750 x4
O 0.000 0.429 0.750 x4
O 0.193 0.373 0.033 x8
O 0.201 0.376 0.472 x8

---

Record 3
Computed PXRD pattern of Ca3Ge4Au7 for Cu Ka, from a GGA-PBE-relaxed structure.
Peak positions follow from Bragg's law for the DFT cell and can differ from measured ones.

Peak list (10 most intense, 10 to 90 degrees two-theta, sorted by position)
4.861 Å, I 29, (0 0 2)
4.102 Å, I 35, (1 0 1)
4.045 Å, I 38, (0 3 1)
2.656 Å, I 100, (1 3 2)
2.451 Å, I 40, (1 2 3)
2.262 Å, I 44, (2 0 0)
2.224 Å, I 25, (0 6 0)
2.114 Å, I 26, (1 1 4)
2.078 Å, I 23, (1 5 2)
2.068 Å, I 28, (1 4 3)

Cell and atoms:
abc: 4.524 13.343 9.723
angles: 90.00 90.00 90.00
Space group Imm2 (No. 44)
Symmetry-distinct sites (fractional):
Ca 0.000 0.000 0.000 x2
Ca 0.000 0.310 0.000 x4
Ge 0.000 0.132 0.729 x4
Ge 0.000 0.321 0.645 x4
Au 0.000 0.000 0.501 x2
Au 0.000 0.134 0.261 x4
Au 0.000 0.340 0.383 x4
Au 0.000 0.500 0.191 x2
Au 0.000 0.500 0.804 x2